Computed powder X-ray diffraction pattern of LiVTeO5 for Cu Kα (λ = 1.5418 Å), from a crystal structure in Alexandria, relaxed with GGA+U.
Peak positions follow from Bragg's law for the DFT cell and can differ from measured ones.

Structure:
Lattice parameters (Å, degrees): 5.1528 8.4624 9.7911 90.00 90.00 90.00
Fractional positions:
Li  0.0270  0.1208  0.0308
Li  0.4730  0.8792  0.5308
Li  0.5270  0.3792  0.9692
Li  0.9730  0.6208  0.4692
V  0.0459  0.4790  0.1505
V  0.4541  0.5210  0.6505
V  0.5459  0.0210  0.8495
V  0.9541  0.9790  0.3495
Te  0.0311  0.1775  0.6412
Te  0.4689  0.8225  0.1412
Te  0.5311  0.3225  0.3588
Te  0.9689  0.6775  0.8588
O  0.1714  0.0235  0.5234
O  0.1784  0.5105  0.3105
O  0.1894  0.6747  0.0782
O  0.2136  0.3228  0.0922
O  0.2205  0.0943  0.7984
O  0.2795  0.9057  0.2984
O  0.2864  0.6772  0.5922
O  0.3106  0.3253  0.5782
O  0.3216  0.4895  0.8105
O  0.3286  0.9765  0.0234
O  0.6714  0.4765  0.4766
O  0.6784  0.9895  0.6895
O  0.6894  0.8253  0.9218
O  0.7136  0.1772  0.9078
O  0.7205  0.4057  0.2016
O  0.7795  0.5943  0.7016
O  0.7864  0.8228  0.4078
O  0.8106  0.1747  0.4218
O  0.8216  0.0105  0.1895
O  0.8286  0.5235  0.9766

The 8 most intense peaks (2θ from 10° to 90°), sorted by position:
index, Position (°2θ), Rel. int.
0 1 1, 13.8, 55
1 1 1, 22.1, 50
0 2 1, 22.9, 45
1 1 2, 27.3, 100
1 2 1, 28.8, 48
1 1 3, 34.2, 20
0 0 4, 36.7, 32
2 3 2, 51.5, 30